# 1
Pu2Br2ClO: computed powder X-ray diffraction pattern (Cu Kα, 1.54184 Å), based on the GGA-PBE geometry in Alexandria.
No peak broadening, texture or thermal motion is included.

Structural model:
Lattice parameters (Å, degrees): 3.8736 11.4041 7.5765 90.00 90.00 90.00
Element x y z (fractional)
Pu1 0.0000 0.0683 0.0000
Pu2 0.0000 0.9317 0.5000
Pu3 0.5000 0.2220 0.3816
Pu4 0.5000 0.7780 0.8816
Br1 0.0000 0.3872 0.5225
Br2 0.0000 0.6128 0.0225
Br3 0.5000 0.2731 0.0080
Br4 0.5000 0.7269 0.5080
Cl1 0.5000 0.0754 0.6837
Cl2 0.5000 0.9246 0.1837
O1 0.0000 0.1150 0.3240
O2 0.0000 0.8850 0.8240

Most intense lines, 2θ = 10–80°, in order of rising 2θ:
Position (°2θ), Rel. int.
14.03, 60
23.48, 69
27.84, 100
30.29, 97
33.59, 54
36.74, 62

***

# 2
OsBr2Cl5: computed powder X-ray diffraction pattern (Cu Kα, 1.54184 Å), based on the GGA-PBE geometry in Alexandria.
No peak broadening, texture or thermal motion is included.

Structural model:
Lattice parameters (Å, degrees): 6.7765 7.0824 7.1165 89.05 73.74 74.00
Element x y z (fractional)
Os1 0.0000 0.0000 0.0000
Br1 0.5105 0.0051 0.5079
Br2 0.5106 0.5082 0.0052
Cl1 0.0741 0.2722 0.8952
Cl2 0.0740 0.8961 0.2711
Cl3 0.3353 0.8101 0.8101
Cl4 0.6480 0.1770 0.1772
Cl5 0.8543 0.8388 0.8411

Most intense lines, 2θ = 10–80°, in order of rising 2θ:
Position (°2θ), Rel. int.
13.01, 100
16.31, 45
18.80, 50
22.85, 32
28.01, 24
28.59, 22